Computed powder XRD pattern of K7Fe4Te8 for Cu Kα, 1.54184 Å, from the GGA-PBE geometry in the Materials Project.

Atomic structure:
```
data_K7Fe4Te8
_chemical_formula_sum 'K14 Fe8 Te16'
_cell_length_a 12.233
_cell_length_b 12.233
_cell_length_c 8.698
_cell_angle_alpha 90.00
_cell_angle_beta 90.00
_cell_angle_gamma 90.00
_symmetry_space_group_name_H-M 'P 42/n m c'
_symmetry_Int_Tables_number 137
loop_
_symmetry_equiv_pos_as_xyz
'x,y,z'
'-x,-y,-z'
'-y+1/2,x,z+1/2'
'y+1/2,-x,-z+1/2'
'-x+1/2,-y+1/2,z'
'x+1/2,y+1/2,-z'
'y,-x+1/2,z+1/2'
'-y,x+1/2,-z+1/2'
'x+1/2,-y,-z'
'-x+1/2,y,z'
'-y,-x,-z+1/2'
'y,x,z+1/2'
'-x,y+1/2,-z'
'x,-y+1/2,z'
'y+1/2,x+1/2,-z+1/2'
'-y+1/2,-x+1/2,z+1/2'
loop_
_atom_site_label
_atom_site_type_symbol
_atom_site_fract_x
_atom_site_fract_y
_atom_site_fract_z
K1 K 0.008 0.508 0.250
K2 K 0.250 0.250 0.208
K3 K 0.250 0.750 0.250
Fe1 Fe 0.145 0.750 0.856
Te1 Te 0.023 0.250 0.964
Te2 Te 0.069 0.750 0.575
```

The 10 most intense peaks (10 to 90 degrees two-theta), low angle first:
Position (°2θ)	Rel. int.	hkl
10.23	36.2	1 1 0
12.49	30.8	1 0 1
20.54	18.0	2 2 0
25.19	28.6	3 1 1
26.18	16.3	2 1 2
29.15	100.0	4 0 0
44.42	27.4	5 3 1
45.02	12.1	5 2 2
47.38	10.3	3 0 4
48.70	14.0	4 3 3